(1)
The following is a calculated powder X-ray diffraction pattern of Li3CrFe3O8. It was derived from a DFT-relaxed cell (PBE+U, the Materials Project), using Cu Kα, 1.54184 Å.
No peak broadening, texture or thermal motion is included.

Main lines, in order of falling intensity (15° ≤ 2θ ≤ 90°):
2θ/deg, I/Imax
18.09, 100.0
42.81, 45.7
35.35, 25.6
42.96, 22.8
35.42, 13.2
62.39, 12.5
56.44, 9.7
46.82, 7.8
36.94, 7.4
65.53, 7.0

Structure:
Cell lengths 5.1983, 7.8606, 7.8805 Å; angles 81.71, 70.96, 83.96 degrees
Space group P-1 (No. 2)
Inequivalent atoms, fractional coordinates:
Li 0.0000 0.0000 0.0000
Li 0.9996 0.1172 0.6251
Li 0.0000 0.5000 0.5000
Li 0.0012 0.3824 0.8799
Cr 0.4911 0.6877 0.4377
Fe 0.4830 0.1869 0.9431
Fe 0.4945 0.9360 0.6924
Fe 0.4960 0.4333 0.1866
O 0.2697 0.1597 0.7714
O 0.2751 0.6547 0.2875
O 0.2758 0.4138 0.0181
O 0.2766 0.0218 0.1515
O 0.2845 0.9015 0.5148
O 0.2845 0.7807 0.9048
O 0.2874 0.5162 0.6418
O 0.2932 0.2816 0.4122

***

(2)
The following is a calculated powder X-ray diffraction pattern of Li8CrFe3O12. It was derived from a DFT-relaxed cell (PBE+U, the Materials Project), using Cu Kα, 1.54184 Å.
No peak broadening, texture or thermal motion is included.

Main lines, in order of falling intensity (15° ≤ 2θ ≤ 90°):
2θ/deg, I/Imax
20.60, 100.0
33.00, 52.5
20.72, 40.8
52.06, 34.3
52.16, 23.7
40.74, 17.2
36.42, 17.1
65.31, 16.0
41.96, 16.0
51.86, 12.4

Structure:
Cell lengths 4.9570, 8.5310, 4.9970 Å; angles 90.00, 90.23, 90.00 degrees
Space group P2 (No. 3)
Inequivalent atoms, fractional coordinates:
Li 0.0000 0.0000 0.0000
Li 0.0000 0.0219 0.5000
Li 0.0000 0.3355 0.5000
Li 0.0000 0.6879 0.0000
Li 0.5000 0.1882 0.5000
Li 0.5000 0.4992 0.5000
Li 0.5000 0.5239 0.0000
Li 0.5000 0.8374 0.0000
Cr 0.0000 0.3524 0.0000
Fe 0.0000 0.6695 0.5000
Fe 0.5000 0.1713 0.0000
Fe 0.5000 0.8537 0.5000
O 0.1484 0.5073 0.2418
O 0.1737 0.1880 0.2145
O 0.1818 0.8401 0.2798
O 0.3215 0.6852 0.7191
O 0.3232 0.3380 0.7805
O 0.3533 0.0133 0.7491

***

(3)
The following is a calculated powder X-ray diffraction pattern of Li3Cr3FeO8. It was derived from a DFT-relaxed cell (PBE+U, the Materials Project), using Cu Kα, 1.54184 Å.
No peak broadening, texture or thermal motion is included.

Main lines, in order of falling intensity (15° ≤ 2θ ≤ 90°):
2θ/deg, I/Imax
18.34, 100.0
42.92, 48.1
43.74, 22.5
35.36, 19.1
35.86, 12.8
62.89, 12.5
63.01, 12.1
37.14, 10.1
35.46, 6.9
62.50, 6.4

Structure:
Cell lengths 10.1793, 5.9757, 5.9442 Å; angles 90.00, 125.59, 90.00 degrees
Space group C2/m (No. 12)
Inequivalent atoms, fractional coordinates:
Li 0.0000 0.0000 0.0000
Li 0.2500 0.2500 0.0000
Cr 0.0000 0.5000 0.5000
Cr 0.2500 0.2500 0.5000
Fe 0.0000 0.5000 0.0000
O 0.0062 0.2734 0.2538
O 0.2305 0.5000 0.2458
O 0.2449 0.5000 0.7263

***

(4)
The following is a calculated powder X-ray diffraction pattern of Li2Cr2FeO6. It was derived from a DFT-relaxed cell (PBE+U, the Materials Project), using Cu Kα, 1.54184 Å.
No peak broadening, texture or thermal motion is included.

Main lines, in order of falling intensity (15° ≤ 2θ ≤ 90°):
2θ/deg, I/Imax
17.50, 100.0
44.64, 34.8
36.48, 29.9
39.72, 23.9
58.23, 16.9
64.23, 14.9
50.92, 14.4
35.39, 10.7
85.58, 6.5
77.54, 6.0

Structure:
Cell lengths 8.7971, 5.0745, 10.1383 Å; angles 90.00, 90.00, 90.00 degrees
Space group Cmce (No. 64)
Inequivalent atoms, fractional coordinates:
Li 0.2500 0.0981 0.2500
Cr 0.1637 0.0000 0.0000
Fe 0.0000 0.0000 0.5000
O 0.0000 0.1881 0.9006
O 0.1659 0.1592 0.6053

***

(5)
The following is a calculated powder X-ray diffraction pattern of Li3Cr3FeO8. It was derived from a DFT-relaxed cell (PBE+U, the Materials Project), using Cu Kα, 1.54184 Å.
No peak broadening, texture or thermal motion is included.

Main lines, in order of falling intensity (15° ≤ 2θ ≤ 90°):
2θ/deg, I/Imax
18.28, 100.0
43.10, 83.7
62.75, 22.2
62.44, 22.1
35.48, 20.8
18.38, 19.2
35.40, 16.8
37.04, 12.1
78.88, 9.7
56.92, 9.5

Structure:
Cell lengths 5.9199, 5.9457, 8.4051 Å; angles 90.00, 90.35, 90.00 degrees
Space group P2/m (No. 10)
Inequivalent atoms, fractional coordinates:
Li 0.0000 0.0000 0.0000
Li 0.2485 0.2523 0.7511
Li 0.5000 0.5000 0.5000
Cr 0.0000 0.0000 0.5000
Cr 0.2470 0.2521 0.2494
Cr 0.5000 0.5000 0.0000
Fe 0.0000 0.5000 0.0000
Fe 0.5000 0.0000 0.5000
O 0.0155 0.0000 0.2594
O 0.0188 0.5000 0.2420
O 0.2454 0.2709 0.0089
O 0.2577 0.2238 0.4923
O 0.4825 0.5000 0.2425
O 0.4835 0.0000 0.2720

***

Q: What is the formula in the second record?
A: Li8CrFe3O12